No. 1
Simulated powder XRD pattern
Compound: Y2SiAg2Pb
Radiation: λ = 1.5418 Å (Cu Kα)
Structure: a cell relaxed with GGA-PBE

Most intense lines, 2θ = 15–90°, sorted by position:
2θ 23.19, d = 3.835 Å, rel. 49, hkl 3 0 -1; 2θ 26.84, d = 3.321 Å, rel. 17, hkl 2 0 2; 2θ 38.31, d = 2.350 Å, rel. 100, hkl 0 2 0; 2θ 38.36, d = 2.347 Å, rel. 49, hkl 4 1 0; 2θ 45.27, d = 2.003 Å, rel. 21, hkl 3 2 -1; 2θ 55.28, d = 1.662 Å, rel. 17, hkl 4 2 -4; 2θ 55.39, d = 1.659 Å, rel. 8, hkl 4 0 4; 2θ 69.20, d = 1.358 Å, rel. 17, hkl 0 3 4; 2θ 69.33, d = 1.355 Å, rel. 27, hkl 4 1 -8; 2θ 82.07, d = 1.174 Å, rel. 7, hkl 8 0 -8

Structural model:
a = 11.488 Å, b = 4.706 Å, c = 11.505 Å
α = 90.00°, β = 109.50°, γ = 90.00°
Atoms (fractional coordinates):
Y1 0.000 0.000 0.000
Y2 0.116 0.500 0.366
Y3 0.249 0.000 0.740
Y4 0.388 0.500 0.123
Y5 0.515 0.000 0.513
Y6 0.633 0.500 0.881
Y7 0.751 0.000 0.249
Y8 0.879 0.500 0.635
Si1 0.002 0.000 0.497
Si2 0.508 0.000 0.002
Si3 0.756 0.000 0.756
Si4 0.876 0.500 0.125
Ag1 0.115 0.500 0.610
Ag2 0.267 0.000 0.998
Ag3 0.378 0.500 0.377
Ag4 0.514 0.000 0.767
Ag5 0.635 0.500 0.121
Ag6 0.770 0.000 0.512
Ag7 0.874 0.500 0.881
Ag8 0.992 0.000 0.246
Pb1 0.131 0.500 0.874
Pb2 0.253 0.000 0.249
Pb3 0.379 0.500 0.627
Pb4 0.633 0.500 0.380



No. 2
Simulated powder XRD pattern
Compound: NdAlGaPt3
Radiation: λ = 1.5418 Å (Cu Kα)
Structure: a cell relaxed with GGA-PBE

Most intense lines, 2θ = 15–90°, sorted by position:
2θ 22.10, d = 4.021 Å, rel. 29, hkl 0 0 1; 2θ 28.82, d = 3.098 Å, rel. 72, hkl 1 0 1; 2θ 36.99, d = 2.430 Å, rel. 100, hkl 2 0 0; 2θ 39.15, d = 2.301 Å, rel. 73, hkl 1 1 1; 2θ 43.51, d = 2.080 Å, rel. 66, hkl 2 0 1; 2θ 45.09, d = 2.011 Å, rel. 29, hkl 0 0 2; 2θ 54.95, d = 1.671 Å, rel. 24, hkl 2 1 1; 2θ 59.69, d = 1.549 Å, rel. 51, hkl 2 0 2; 2θ 66.66, d = 1.403 Å, rel. 27, hkl 2 2 0; 2θ 84.14, d = 1.151 Å, rel. 29, hkl 2 2 2

Structural model:
a = 5.612 Å, b = 5.612 Å, c = 4.021 Å
α = 90.00°, β = 90.00°, γ = 120.00°
Atoms (fractional coordinates):
Nd1 0.000 0.000 0.000
Al1 0.333 0.667 0.000
Ga1 0.667 0.333 0.000
Pt1 0.002 0.501 0.500
Pt2 0.499 0.501 0.500
Pt3 0.499 0.998 0.500



No. 3
Simulated powder XRD pattern
Compound: InAgSO
Radiation: λ = 1.5418 Å (Cu Kα)
Structure: a cell relaxed with GGA-PBE

Most intense lines, 2θ = 15–90°, sorted by position:
2θ 25.62, d = 3.478 Å, rel. 32, hkl 0 2 0; 2θ 27.17, d = 3.282 Å, rel. 80, hkl 2 0 0; 2θ 29.07, d = 3.072 Å, rel. 41, hkl 1 2 0; 2θ 32.06, d = 2.792 Å, rel. 100, hkl 1 2 -1; 2θ 33.12, d = 2.704 Å, rel. 25, hkl 1 2 1; 2θ 33.29, d = 2.691 Å, rel. 76, hkl 1 0 2; 2θ 33.77, d = 2.654 Å, rel. 47, hkl 1 1 -2; 2θ 50.91, d = 1.794 Å, rel. 27, hkl 3 1 -2; 2θ 51.90, d = 1.762 Å, rel. 30, hkl 0 2 3; 2θ 54.60, d = 1.681 Å, rel. 27, hkl 1 4 0

Structural model:
a = 6.587 Å, b = 6.955 Å, c = 6.152 Å
α = 90.00°, β = 94.85°, γ = 90.00°
Atoms (fractional coordinates):
In1 0.021 0.130 0.229
In2 0.021 0.370 0.729
In3 0.979 0.630 0.271
In4 0.979 0.870 0.771
Ag1 0.464 0.718 0.591
Ag2 0.464 0.782 0.091
Ag3 0.536 0.218 0.909
Ag4 0.536 0.282 0.409
S1 0.261 0.101 0.602
S2 0.261 0.399 0.102
S3 0.739 0.601 0.898
S4 0.739 0.899 0.398
O1 0.133 0.641 0.603
O2 0.133 0.859 0.103
O3 0.867 0.141 0.897
O4 0.867 0.359 0.397